1.
Starting from a PBE-relaxed structure, the powder XRD pattern of PmSi2Rh8 was simulated for Cu Kα.
No peak broadening, texture or thermal motion is included.

Structural model:
```
data_PmSi2Rh8
_chemical_formula_sum 'Pm1 Si2 Rh8'
_cell_length_a 5.875
_cell_length_b 5.875
_cell_length_c 5.495
_cell_angle_alpha 90.00
_cell_angle_beta 90.00
_cell_angle_gamma 90.00
_symmetry_space_group_name_H-M 'P 4/m m m'
_symmetry_Int_Tables_number 123
_symmetry_space_group_name_Hall '-P 4 2'
loop_
_atom_site_label
_atom_site_fract_x
_atom_site_fract_y
_atom_site_fract_z
Pm1 0.000 0.000 0.000
Si1 0.000 0.500 0.500
Rh1 0.278 0.278 0.255
```

Principal peaks in the range 2θ = 10–90°, in order of falling intensity:
2theta, d_spacing, I/Imax, (hkl)
45.19, 2.007, 100, 2 0 2
30.43, 2.938, 53, 2 0 0
43.57, 2.077, 50, 2 2 0
32.59, 2.748, 26, 0 0 2
81.15, 1.185, 23, 4 2 2
66.74, 1.402, 19, 3 2 2
34.12, 2.627, 19, 2 1 0
26.90, 3.314, 18, 1 1 1



2.
Starting from a PBE-relaxed structure, the powder XRD pattern of Pm3Si2Rh3 was simulated for Cu Kα.
No peak broadening, texture or thermal motion is included.

Structural model:
```
data_Pm3Si2Rh3
_chemical_formula_sum 'Pm12 Si8 Rh12'
_cell_length_a 7.706
_cell_length_b 14.931
_cell_length_c 5.687
_cell_angle_alpha 90.00
_cell_angle_beta 90.00
_cell_angle_gamma 90.00
_symmetry_space_group_name_H-M 'P n m a'
_symmetry_Int_Tables_number 62
_symmetry_space_group_name_Hall '-P 2ac 2n'
loop_
_atom_site_label
_atom_site_fract_x
_atom_site_fract_y
_atom_site_fract_z
Pm1 0.027 0.108 0.138
Pm2 0.167 0.250 0.614
Si1 0.125 0.600 0.367
Rh1 0.165 0.037 0.602
Rh2 0.181 0.750 0.583
```

Principal peaks in the range 2θ = 10–90°, in order of falling intensity:
2theta, d_spacing, I/Imax, (hkl)
33.41, 2.682, 100, 2 4 0
38.46, 2.341, 72, 3 0 1
30.92, 2.892, 72, 1 4 1
33.59, 2.668, 51, 1 0 2
38.28, 2.351, 49, 1 3 2
37.07, 2.425, 43, 2 4 1
34.14, 2.626, 43, 1 1 2
41.61, 2.170, 33, 1 4 2



3.
Starting from a PBE-relaxed structure, the powder XRD pattern of Pm2Si9Rh3 was simulated for Cu Kα.
No peak broadening, texture or thermal motion is included.

Structural model:
```
data_Pm2Si9Rh3
_chemical_formula_sum 'Pm8 Si36 Rh12'
_cell_length_a 12.117
_cell_length_b 7.472
_cell_length_c 10.991
_cell_angle_alpha 90.00
_cell_angle_beta 111.94
_cell_angle_gamma 90.00
_symmetry_space_group_name_H-M 'C 1 2/c 1'
_symmetry_Int_Tables_number 15
_symmetry_space_group_name_Hall '-C 2yc'
loop_
_atom_site_label
_atom_site_fract_x
_atom_site_fract_y
_atom_site_fract_z
Pm1 0.159 0.085 0.251
Si1 0.000 0.378 0.250
Si2 0.065 0.067 0.942
Si3 0.091 0.411 0.069
Si4 0.103 0.323 0.767
Si5 0.214 0.423 0.434
Rh1 0.103 0.250 0.552
Rh2 0.250 0.250 0.000
```

Principal peaks in the range 2θ = 10–90°, in order of falling intensity:
2theta, d_spacing, I/Imax, (hkl)
42.65, 2.120, 100, 3 3 -1
30.59, 2.923, 55, 3 1 -3
26.57, 3.355, 53, 3 1 -2
29.65, 3.013, 48, 0 2 2
35.72, 2.514, 48, 0 2 3
36.48, 2.463, 46, 3 1 -4
35.21, 2.549, 46, 0 0 4
30.76, 2.907, 44, 3 1 1



4.
Starting from a PBE-relaxed structure, the powder XRD pattern of PmSiRh4 was simulated for Cu Kα.
No peak broadening, texture or thermal motion is included.

Structural model:
```
data_PmSiRh4
_chemical_formula_sum 'Pm2 Si2 Rh8'
_cell_length_a 7.636
_cell_length_b 3.774
_cell_length_c 6.903
_cell_angle_alpha 90.00
_cell_angle_beta 90.00
_cell_angle_gamma 90.00
_symmetry_space_group_name_H-M 'P m m a'
_symmetry_Int_Tables_number 51
_symmetry_space_group_name_Hall '-P 2a 2a'
loop_
_atom_site_label
_atom_site_fract_x
_atom_site_fract_y
_atom_site_fract_z
Pm1 0.250 0.000 0.129
Si1 0.250 0.000 0.702
Rh1 0.000 0.000 0.500
Rh2 0.061 0.500 0.801
Rh3 0.250 0.500 0.448
```

Principal peaks in the range 2θ = 10–90°, in order of falling intensity:
2theta, d_spacing, I/Imax, (hkl)
35.90, 2.502, 100, 2 1 1
42.67, 2.119, 60, 2 1 2
37.22, 2.416, 57, 1 1 2
37.66, 2.388, 32, 3 0 1
48.23, 1.887, 32, 0 2 0
39.15, 2.301, 30, 0 0 3
29.40, 3.038, 21, 1 1 1
40.97, 2.203, 18, 1 0 3



5.
Starting from a PBE-relaxed structure, the powder XRD pattern of Pm2TiSi3Rh4 was simulated for Cu Kα.
No peak broadening, texture or thermal motion is included.

Structural model:
```
data_Pm2TiSi3Rh4
_chemical_formula_sum 'Pm2 Ti1 Si3 Rh4'
_cell_length_a 4.119
_cell_length_b 4.119
_cell_length_c 10.336
_cell_angle_alpha 90.00
_cell_angle_beta 90.00
_cell_angle_gamma 90.00
_symmetry_space_group_name_H-M 'P -4 m 2'
_symmetry_Int_Tables_number 115
_symmetry_space_group_name_Hall 'P -4 -2'
loop_
_atom_site_label
_atom_site_fract_x
_atom_site_fract_y
_atom_site_fract_z
Pm1 0.000 0.500 0.244
Ti1 0.000 0.000 0.500
Si1 0.000 0.500 0.876
Si2 0.500 0.500 0.500
Rh1 0.000 0.000 0.000
Rh2 0.000 0.500 0.640
Rh3 0.500 0.500 0.000
```

Principal peaks in the range 2θ = 10–90°, in order of falling intensity:
2theta, d_spacing, I/Imax, (hkl)
35.38, 2.537, 100, 1 1 2
33.92, 2.643, 56, 1 0 3
43.97, 2.059, 51, 2 0 0
49.32, 1.848, 28, 1 0 5
56.67, 1.624, 25, 2 1 3
75.24, 1.263, 21, 3 1 2
68.19, 1.375, 21, 2 1 5
31.93, 2.803, 16, 1 1 1



6.
Starting from a PBE-relaxed structure, the powder XRD pattern of Pm2TlSi2Rh5 was simulated for Cu Kα.
No peak broadening, texture or thermal motion is included.

Structural model:
```
data_Pm2TlSi2Rh5
_chemical_formula_sum 'Pm4 Tl2 Si4 Rh10'
_cell_length_a 9.995
_cell_length_b 9.995
_cell_length_c 3.551
_cell_angle_alpha 90.00
_cell_angle_beta 90.00
_cell_angle_gamma 90.00
_symmetry_space_group_name_H-M 'P 4/m b m'
_symmetry_Int_Tables_number 127
_symmetry_space_group_name_Hall '-P 4 2ab'
loop_
_atom_site_label
_atom_site_fract_x
_atom_site_fract_y
_atom_site_fract_z
Pm1 0.177 0.323 0.000
Tl1 0.000 0.000 0.000
Si1 0.120 0.620 0.000
Rh1 0.000 0.500 0.500
Rh2 0.069 0.778 0.500
```

Principal peaks in the range 2θ = 10–90°, in order of falling intensity:
2theta, d_spacing, I/Imax, (hkl)
38.12, 2.361, 100, 3 1 1
32.20, 2.780, 48, 2 1 1
35.87, 2.504, 48, 2 2 1
37.09, 2.424, 46, 4 1 0
40.36, 2.235, 32, 4 2 0
41.32, 2.185, 22, 3 2 1
51.47, 1.776, 19, 0 0 2
65.12, 1.432, 18, 4 1 2



7.
Starting from a PBE-relaxed structure, the powder XRD pattern of PmTmSiRh was simulated for Cu Kα.
No peak broadening, texture or thermal motion is included.

Structural model:
```
data_PmTmSiRh
_chemical_formula_sum 'Pm2 Tm2 Si2 Rh2'
_cell_length_a 4.040
_cell_length_b 4.193
_cell_length_c 10.543
_cell_angle_alpha 90.00
_cell_angle_beta 90.00
_cell_angle_gamma 90.00
_symmetry_space_group_name_H-M 'A m m 2'
_symmetry_Int_Tables_number 38
_symmetry_space_group_name_Hall 'A 2 -2'
loop_
_atom_site_label
_atom_site_fract_x
_atom_site_fract_y
_atom_site_fract_z
Pm1 0.000 0.000 0.000
Tm1 0.500 0.000 0.282
Si1 0.500 0.000 0.581
Rh1 0.000 0.000 0.722
```

Principal peaks in the range 2θ = 10–90°, in order of falling intensity:
2theta, d_spacing, I/Imax, (hkl)
31.91, 2.804, 100, 1 1 1
40.24, 2.241, 41, 1 1 3
33.27, 2.693, 41, 0 1 3
27.82, 3.206, 29, 1 0 2
34.01, 2.636, 25, 0 0 4
43.15, 2.096, 22, 0 2 0
44.88, 2.020, 20, 2 0 0
74.54, 1.273, 19, 2 2 4



8.
Starting from a PBE-relaxed structure, the powder XRD pattern of PmYSiRh was simulated for Cu Kα.
No peak broadening, texture or thermal motion is included.

Structural model:
```
data_PmYSiRh
_chemical_formula_sum 'Pm2 Y2 Si2 Rh2'
_cell_length_a 4.122
_cell_length_b 4.243
_cell_length_c 10.446
_cell_angle_alpha 90.00
_cell_angle_beta 90.00
_cell_angle_gamma 90.00
_symmetry_space_group_name_H-M 'A m m 2'
_symmetry_Int_Tables_number 38
_symmetry_space_group_name_Hall 'A 2 -2'
loop_
_atom_site_label
_atom_site_fract_x
_atom_site_fract_y
_atom_site_fract_z
Pm1 0.000 0.000 0.000
Y1 0.500 0.000 0.282
Si1 0.500 0.000 0.579
Rh1 0.000 0.000 0.718
```

Principal peaks in the range 2θ = 10–90°, in order of falling intensity:
2theta, d_spacing, I/Imax, (hkl)
31.45, 2.845, 100, 1 1 1
40.01, 2.254, 52, 1 1 3
33.29, 2.692, 47, 0 1 3
42.62, 2.121, 25, 0 2 0
34.34, 2.611, 24, 0 0 4
40.91, 2.206, 23, 1 0 4
43.93, 2.061, 22, 2 0 0
56.22, 1.636, 21, 2 1 3



9.
Starting from a PBE-relaxed structure, the powder XRD pattern of Pm4SmRh2 was simulated for Cu Kα.
No peak broadening, texture or thermal motion is included.

Structural model:
```
data_Pm4SmRh2
_chemical_formula_sum 'Pm12 Sm3 Rh6'
_cell_length_a 4.0723
_cell_length_b 4.0723
_cell_length_c 45.0881
_cell_angle_alpha 90.00
_cell_angle_beta 90.00
_cell_angle_gamma 120.00
_symmetry_space_group_name_H-M 'R -3 m'
_symmetry_Int_Tables_number 166
_symmetry_space_group_name_Hall '-R 3 2"'
loop_
_atom_site_label
_atom_site_fract_x
_atom_site_fract_y
_atom_site_fract_z
Pm1 0.0000 0.0000 0.1023
Pm2 0.0000 0.0000 0.2995
Sm1 0.0000 0.0000 0.5000
Rh1 0.0000 0.0000 0.4010
```

Principal peaks in the range 2θ = 10–90°, in order of falling intensity:
2theta, d_spacing, I/Imax, (hkl)
32.22, 2.778, 100, 1 0 10
27.15, 3.284, 48, 0 1 5
44.50, 2.036, 41, 1 1 0
47.89, 1.899, 32, 0 1 20
56.00, 1.642, 21, 0 2 10
74.18, 1.278, 18, 2 1 10
79.21, 1.209, 16, 1 1 30
54.43, 1.686, 14, 1 1 15



10.
Starting from a PBE-relaxed structure, the powder XRD pattern of Pm2Sm6Rh was simulated for Cu Kα.
No peak broadening, texture or thermal motion is included.

Structural model:
```
data_Pm2Sm6Rh
_chemical_formula_sum 'Pm4 Sm12 Rh2'
_cell_length_a 9.320
_cell_length_b 17.639
_cell_length_c 3.675
_cell_angle_alpha 90.00
_cell_angle_beta 90.00
_cell_angle_gamma 90.00
_symmetry_space_group_name_H-M 'C m m m'
_symmetry_Int_Tables_number 65
_symmetry_space_group_name_Hall '-C 2 2'
loop_
_atom_site_label
_atom_site_fract_x
_atom_site_fract_y
_atom_site_fract_z
Pm1 0.000 0.171 0.000
Sm1 0.167 0.333 0.500
Sm2 0.221 0.500 0.000
Rh1 0.000 0.500 0.500
```

Principal peaks in the range 2θ = 10–90°, in order of falling intensity:
2theta, d_spacing, I/Imax, (hkl)
32.63, 2.744, 100, 3 3 0
30.41, 2.940, 60, 0 6 0
30.24, 2.955, 42, 1 3 1
37.24, 2.414, 35, 2 4 1
10.74, 8.240, 24, 1 1 0
26.56, 3.356, 23, 1 1 1
41.02, 2.200, 21, 3 3 1
29.19, 3.060, 19, 3 1 0



11.
Starting from a PBE-relaxed structure, the powder XRD pattern of Pm2SmRh3 was simulated for Cu Kα.
No peak broadening, texture or thermal motion is included.

Structural model:
```
data_Pm2SmRh3
_chemical_formula_sum 'Pm4 Sm2 Rh6'
_cell_length_a 4.999
_cell_length_b 6.932
_cell_length_c 7.897
_cell_angle_alpha 90.00
_cell_angle_beta 108.32
_cell_angle_gamma 90.00
_symmetry_space_group_name_H-M 'P 1 2/m 1'
_symmetry_Int_Tables_number 10
_symmetry_space_group_name_Hall '-P 2y'
loop_
_atom_site_label
_atom_site_fract_x
_atom_site_fract_y
_atom_site_fract_z
Pm1 0.000 0.000 0.000
Pm2 0.000 0.500 0.000
Pm3 0.333 0.000 0.667
Sm1 0.333 0.500 0.666
Rh1 0.167 0.252 0.334
Rh2 0.500 0.251 0.000
```

Principal peaks in the range 2θ = 10–90°, in order of falling intensity:
2theta, d_spacing, I/Imax, (hkl)
36.30, 2.475, 100, 1 2 1
35.93, 2.499, 51, 0 0 3
64.83, 1.438, 36, 3 2 0
65.55, 1.424, 18, 0 4 3
51.66, 1.769, 9, 2 0 2
51.79, 1.765, 9, 2 0 -4
52.82, 1.733, 8, 0 4 0
87.32, 1.117, 8, 3 2 3



12.
Starting from a PBE-relaxed structure, the powder XRD pattern of Pm5SmRh2 was simulated for Cu Kα.
No peak broadening, texture or thermal motion is included.

Structural model:
```
data_Pm5SmRh2
_chemical_formula_sum 'Pm10 Sm2 Rh4'
_cell_length_a 4.120
_cell_length_b 7.409
_cell_length_c 16.106
_cell_angle_alpha 90.00
_cell_angle_beta 90.00
_cell_angle_gamma 90.00
_symmetry_space_group_name_H-M 'I m m m'
_symmetry_Int_Tables_number 71
_symmetry_space_group_name_Hall '-I 2 2'
loop_
_atom_site_label
_atom_site_fract_x
_atom_site_fract_y
_atom_site_fract_z
Pm1 0.000 0.000 0.000
Pm2 0.000 0.246 0.342
Sm1 0.000 0.500 0.000
Rh1 0.000 0.000 0.186
```

Principal peaks in the range 2θ = 10–90°, in order of falling intensity:
2theta, d_spacing, I/Imax, (hkl)
32.99, 2.715, 100, 1 2 1
27.28, 3.269, 76, 1 0 3
33.38, 2.684, 50, 0 0 6
32.85, 2.726, 48, 0 2 4
43.21, 2.094, 38, 1 2 5
36.67, 2.451, 35, 1 2 3
55.97, 1.643, 33, 1 0 9
51.77, 1.766, 28, 1 2 7



13.
Starting from a PBE-relaxed structure, the powder XRD pattern of Pm3Sn2Rh3 was simulated for Cu Kα.
No peak broadening, texture or thermal motion is included.

Structural model:
```
data_Pm3Sn2Rh3
_chemical_formula_sum 'Pm9 Sn6 Rh9'
_cell_length_a 5.5650
_cell_length_b 5.5650
_cell_length_c 20.3256
_cell_angle_alpha 90.00
_cell_angle_beta 90.00
_cell_angle_gamma 120.00
_symmetry_space_group_name_H-M 'R -3 m'
_symmetry_Int_Tables_number 166
_symmetry_space_group_name_Hall '-R 3 2"'
loop_
_atom_site_label
_atom_site_fract_x
_atom_site_fract_y
_atom_site_fract_z
Pm1 0.0000 0.0000 0.0000
Pm2 0.0000 0.0000 0.4249
Sn1 0.0000 0.0000 0.2725
Rh1 0.0000 0.5000 0.5000
```

Principal peaks in the range 2θ = 10–90°, in order of falling intensity:
2theta, d_spacing, I/Imax, (hkl)
36.11, 2.487, 100, 1 0 7
32.17, 2.782, 82, 1 1 0
59.95, 1.543, 46, 2 1 7
41.47, 2.177, 41, 0 2 4
42.02, 2.150, 38, 1 1 6
34.86, 2.574, 37, 1 1 3
37.59, 2.393, 35, 0 2 1
67.31, 1.391, 34, 2 2 0